Theoretical PXRD pattern
Compound: NaBiHS2
Radiation: Cu Kα
Structure: a DFT-relaxed cell (GGA-PBE, Alexandria)

Main lines, most intense first (2θ from 10° to 90°):
13.38 deg, d = 6.616 Å, I 100
26.77 deg, d = 3.331 Å, I 40
27.65 deg, d = 3.226 Å, I 32
31.93 deg, d = 2.803 Å, I 32
31.31 deg, d = 2.857 Å, I 32
23.07 deg, d = 3.855 Å, I 27
21.77 deg, d = 4.083 Å, I 27
41.07 deg, d = 2.198 Å, I 25
35.77 deg, d = 2.510 Å, I 24
36.31 deg, d = 2.474 Å, I 20

Structural model:
```
NaBiHS2
1.0
7.132 0.000 0.000
0.000 3.855 0.000
-3.286 0.000 8.165
Na Bi H S
2 2 2 4
direct
0.000 0.229 0.250
0.000 0.771 0.750
0.500 0.030 0.750
0.500 0.970 0.250
0.500 0.500 0.000
0.500 0.500 0.500
0.283 0.285 0.941
0.283 0.715 0.441
0.717 0.285 0.559
0.717 0.715 0.059
```